No. 1
For PuGa2Ni2, the GGA-PBE geometry in Alexandria gives the simulated XRD peak list in this record (Cu Kα X-rays).
Neutral-atom scattering factors, no anomalous dispersion.

Atomic structure:
Cell lengths 4.1187, 4.1187, 9.8078 Å; angles 90.00, 90.00, 90.00 degrees
Space group P4/nmm (No. 129, origin choice 2)
Asymmetric unit:
1 Pu 0.2500 0.2500 0.2452 [2 per cell]
2 Ga 0.2500 0.2500 0.8755 [2 per cell]
3 Ga 0.2500 0.7500 0.5000 [2 per cell]
4 Ni 0.2500 0.2500 0.6333 [2 per cell]
5 Ni 0.2500 0.7500 0.0000 [2 per cell]

Principal peaks in the range 2θ = 15–90°, most intense first:
- 2θ = 35.86°, I 100, (1 1 2)
- 2θ = 35.04°, I 78, (1 0 3)
- 2θ = 43.97°, I 52, (2 0 0)
- 2θ = 57.42°, I 38, (2 1 3)
- 2θ = 23.43°, I 35, (1 0 1)
- 2θ = 51.61°, I 29, (1 0 5)
- 2θ = 30.70°, I 29, (1 1 0)
- 2θ = 70.08°, I 23, (2 1 5)


No. 2
For Na2LiTl8, the GGA-PBE geometry in Alexandria gives the simulated XRD peak list in this record (Cu Kα X-rays).
Neutral-atom scattering factors, no anomalous dispersion.

Atomic structure:
Cell lengths 4.9247, 4.9247, 12.7128 Å; angles 90.00, 90.00, 90.00 degrees
Space group P4/mmm (No. 123)
Asymmetric unit:
1 Na 0.0000 0.0000 0.1869 [2 per cell]
2 Li 0.0000 0.0000 0.5000 [1 per cell]
3 Tl 0.0000 0.5000 0.0000 [2 per cell]
4 Tl 0.0000 0.5000 0.3722 [4 per cell]
5 Tl 0.5000 0.5000 0.1848 [2 per cell]

Principal peaks in the range 2θ = 15–90°, most intense first:
- 2θ = 33.30°, I 100, (1 1 3)
- 2θ = 36.49°, I 53, (2 0 0)
- 2θ = 63.66°, I 33, (3 1 3)
- 2θ = 29.24°, I 31, (1 1 2)
- 2θ = 25.58°, I 27, (1 1 0)
- 2θ = 51.68°, I 25, (2 0 5)
- 2θ = 64.45°, I 20, (1 1 8)
- 2θ = 52.56°, I 19, (2 2 0)


No. 3
For Hf4AlSn2, the GGA-PBE geometry in Alexandria gives the simulated XRD peak list in this record (Cu Kα X-rays).
Neutral-atom scattering factors, no anomalous dispersion.

Atomic structure:
Cell lengths 8.4631, 8.4631, 8.5886 Å; angles 90.00, 90.00, 90.00 degrees
Space group I-42d (No. 122)
Asymmetric unit:
1 Hf 0.0730 0.1824 0.2918 [16 per cell]
2 Al 0.0000 0.0000 0.0000 [4 per cell]
3 Sn 0.1168 0.2500 0.6250 [8 per cell]

Principal peaks in the range 2θ = 15–90°, most intense first:
- 2θ = 33.46°, I 100, (3 1 0)
- 2θ = 39.47°, I 60, (2 1 3)
- 2θ = 33.03°, I 40, (1 0 3)
- 2θ = 39.81°, I 28, (3 2 1)
- 2θ = 52.87°, I 26, (4 2 2)
- 2θ = 39.68°, I 23, (3 1 2)
- 2θ = 68.26°, I 18, (6 1 1)
- 2θ = 25.53°, I 17, (1 1 2)


No. 4
For Zn7Sb2O12, the GGA-PBE geometry in Alexandria gives the simulated XRD peak list in this record (Cu Kα X-rays).
Neutral-atom scattering factors, no anomalous dispersion.

Atomic structure:
Cell lengths 8.7296, 8.7734, 13.6193 Å; angles 90.00, 106.95, 90.00 degrees
Space group C2/c (No. 15)
Asymmetric unit:
1 Zn 0.0000 0.0000 0.0000 [4 per cell]
2 Zn 0.0000 0.1449 0.2500 [4 per cell]
3 Zn 0.0762 0.2365 0.6615 [8 per cell]
4 Zn 0.1546 0.3557 0.0762 [8 per cell]
5 Zn 0.2500 0.2500 0.5000 [4 per cell]
6 Sb 0.1714 0.4934 0.8354 [8 per cell]
7 O 0.0189 0.2297 0.5064 [8 per cell]
8 O 0.0728 0.4946 0.6756 [8 per cell]
9 O 0.1032 0.0032 0.1716 [8 per cell]
10 O 0.1586 0.2650 0.8274 [8 per cell]
11 O 0.1750 0.2784 0.3354 [8 per cell]
12 O 0.2402 0.4972 0.9885 [8 per cell]

Principal peaks in the range 2θ = 15–90°, most intense first:
- 2θ = 33.80°, I 100, (3 1 0)
- 2θ = 34.03°, I 77, (1 3 -2)
- 2θ = 17.78°, I 73, (1 1 -2)
- 2θ = 33.90°, I 67, (1 1 4)
- 2θ = 28.90°, I 46, (0 2 3)
- 2θ = 34.37°, I 46, (3 1 -3)
- 2θ = 34.48°, I 45, (1 1 -5)
- 2θ = 35.26°, I 45, (2 2 2)